Structure and theoretical powder XRD pattern of Be2PH (a crystal structure in Alexandria, relaxed with GGA-PBE; Cu Kα (weighted mean of Kα1 and Kα2)).

Top 10 peaks for 2θ = 10–90°, sorted by position:
| hkl | d [Å] | 2theta | intensity |
| --- | --- | --- | --- |
| 0 2 0 | 6.538 | 13.54 | 38 |
| 0 4 0 | 3.269 | 27.28 | 13 |
| 0 2 1 | 3.241 | 27.52 | 100 |
| 1 3 0 | 2.754 | 32.51 | 76 |
| 1 1 1 | 2.525 | 35.56 | 30 |
| 0 0 2 | 1.866 | 48.80 | 15 |
| 1 5 1 | 1.834 | 49.70 | 56 |
| 2 0 0 | 1.776 | 51.44 | 15 |
| 2 2 1 | 1.558 | 59.32 | 19 |
| 1 3 2 | 1.545 | 59.87 | 20 |

Atomic structure:
```
data_Be2PH
_chemical_formula_sum 'Be8 P4 H4'
_space_group_name_H-M_alt 'C m c 21'
_space_group_IT_number 36
_cell_length_a 3.5529
_cell_length_b 13.0765
_cell_length_c 3.7322
_cell_angle_alpha 90.00
_cell_angle_beta 90.00
_cell_angle_gamma 90.00
loop_
_space_group_symop_operation_xyz
'x,y,z'
'-x,-y,z+1/2'
'-x,y,z'
'x,-y,z+1/2'
'x+1/2,y+1/2,z'
'-x+1/2,-y+1/2,z+1/2'
'-x+1/2,y+1/2,z'
'x+1/2,-y+1/2,z+1/2'
loop_
_atom_site_label
_atom_site_type_symbol
_atom_site_fract_x
_atom_site_fract_y
_atom_site_fract_z
Be1 Be 0.0000 0.0581 0.0000
Be2 Be 0.0000 0.2578 0.9203
P1 P 0.0000 0.3468 0.4151
H1 H 0.0000 0.0453 0.3796
```

Structure and theoretical powder XRD pattern of Be2PH (a crystal structure in Alexandria, relaxed with GGA-PBE; Cu Kα (weighted mean of Kα1 and Kα2)).

Top 10 peaks for 2θ = 10–90°, sorted by position:
| hkl | d [Å] | 2theta | intensity |
| --- | --- | --- | --- |
| 0 1 -1 | 3.666 | 24.28 | 78 |
| 1 0 -1 | 3.184 | 28.03 | 100 |
| 1 0 1 | 3.083 | 28.96 | 47 |
| 0 0 2 | 2.692 | 33.28 | 57 |
| 1 -1 1 | 2.655 | 33.76 | 67 |
| 0 1 1 | 2.642 | 33.93 | 81 |
| 1 1 0 | 2.622 | 34.20 | 29 |
| 0 2 -1 | 1.949 | 46.60 | 27 |
| -1 1 2 | 1.720 | 53.24 | 28 |
| 1 1 2 | 1.671 | 54.97 | 24 |

Atomic structure:
```
data_Be2PH
_chemical_formula_sum 'Be4 P2 H2'
_space_group_name_H-M_alt 'P 1'
_space_group_IT_number 1
_cell_length_a 3.8518
_cell_length_b 3.8988
_cell_length_c 5.7311
_cell_angle_alpha 109.83
_cell_angle_beta 91.55
_cell_angle_gamma 90.84
loop_
_space_group_symop_operation_xyz
'x,y,z'
loop_
_atom_site_label
_atom_site_type_symbol
_atom_site_fract_x
_atom_site_fract_y
_atom_site_fract_z
Be1 Be 0.0000 0.0000 0.0000
Be2 Be 0.1993 0.0605 0.4897
Be3 Be 0.4646 0.6578 0.6851
Be4 Be 0.7420 0.5304 0.1135
P1 P 0.2643 0.4637 0.2896
P2 P 0.7375 0.1685 0.7127
H1 H 0.2323 0.7210 0.8858
H2 H 0.7319 0.9019 0.1331
```

Structure and theoretical powder XRD pattern of Be2PH3 (a crystal structure in Alexandria, relaxed with GGA-PBE; Cu Kα (weighted mean of Kα1 and Kα2)).

Top 10 peaks for 2θ = 10–90°, sorted by position:
| hkl | d [Å] | 2theta | intensity |
| --- | --- | --- | --- |
| 0 1 1 | 4.427 | 20.06 | 100 |
| 0 2 0 | 2.791 | 32.07 | 16 |
| 1 1 2 | 2.595 | 34.57 | 14 |
| 2 0 0 | 2.480 | 36.23 | 23 |
| 0 1 3 | 2.222 | 40.60 | 14 |
| 0 2 2 | 2.213 | 40.77 | 19 |
| 2 1 1 | 2.163 | 41.75 | 25 |
| 2 2 0 | 1.854 | 49.15 | 11 |
| 1 2 3 | 1.716 | 53.38 | 12 |
| 2 2 2 | 1.651 | 55.66 | 11 |

Atomic structure:
```
data_Be2PH3
_chemical_formula_sum 'Be8 P4 H12'
_space_group_name_H-M_alt 'I m m a'
_space_group_IT_number 74
_space_group_name_Hall '-I 2b 2'
_cell_length_a 4.9594
_cell_length_b 5.5825
_cell_length_c 7.2658
_cell_angle_alpha 90.00
_cell_angle_beta 90.00
_cell_angle_gamma 90.00
loop_
_atom_site_label
_atom_site_type_symbol
_atom_site_fract_x
_atom_site_fract_y
_atom_site_fract_z
Be1 Be 0.0000 0.0000 0.0000
Be2 Be 0.0000 0.2500 0.4667
P1 P 0.0000 0.2500 0.7832
H1 H 0.0000 0.2500 0.2631
H2 H 0.1908 0.0000 0.5000
```